For Cs2Cr4CuH4O16, DFT lattice parameters and positions (PBE+U) gives the calculated X-ray diffraction stick pattern in this record (Cu Kα X-rays).

Peak list (12 most intense, 10 to 80 degrees two-theta, low angle first)
| 2theta | I_rel |
| --- | --- |
| 16.39 | 67 |
| 18.60 | 31 |
| 23.57 | 32 |
| 24.17 | 40 |
| 25.37 | 80 |
| 25.77 | 100 |
| 26.93 | 61 |
| 27.78 | 45 |
| 28.01 | 38 |
| 34.40 | 24 |
| 35.15 | 26 |
| 49.82 | 23 |

Crystal structure
Cell lengths 7.498, 7.808, 8.214 Å; angles 88.07, 63.07, 81.80 degrees
Fractional coordinates of all 27 atoms:
Cs1 0.238 0.171 0.026
Cs2 0.762 0.829 0.974
Cr1 0.250 0.883 0.532
Cr2 0.476 0.652 0.738
Cr3 0.524 0.348 0.262
Cr4 0.750 0.117 0.468
Cu1 0.000 0.500 0.500
H1 0.083 0.256 0.679
H2 0.173 0.425 0.700
H3 0.827 0.575 0.300
H4 0.917 0.744 0.321
O1 0.054 0.386 0.696
O2 0.096 0.740 0.569
O3 0.131 0.042 0.687
O4 0.281 0.411 0.316
O5 0.330 0.952 0.326
O6 0.352 0.488 0.762
O7 0.371 0.769 0.926
O8 0.463 0.779 0.560
O9 0.537 0.221 0.440
O10 0.629 0.231 0.074
O11 0.648 0.512 0.238
O12 0.670 0.048 0.674
O13 0.719 0.589 0.684
O14 0.869 0.958 0.313
O15 0.904 0.260 0.431
O16 0.946 0.614 0.304